Starting from a crystal structure in the Materials Project, relaxed with PBE, the powder diffractogram of Tl3PbCl5 was calculated for copper Kα.
No peak broadening, texture or thermal motion is included.

Structural model:
```
Tl3PbCl5
1.0
8.722 0.000 0.000
0.000 8.744 0.000
0.000 0.000 14.747
Tl Pb Cl
12 4 20
Direct
0.085 0.129 0.214 Tl
0.107 0.161 0.516 Tl
0.245 0.692 0.449 Tl
0.255 0.308 0.949 Tl
0.393 0.839 0.016 Tl
0.415 0.871 0.714 Tl
0.585 0.371 0.786 Tl
0.607 0.339 0.484 Tl
0.745 0.808 0.551 Tl
0.755 0.192 0.051 Tl
0.893 0.661 0.984 Tl
0.915 0.629 0.286 Tl
0.061 0.526 0.703 Pb
0.439 0.474 0.203 Pb
0.561 0.974 0.297 Pb
0.939 0.026 0.797 Pb
0.063 0.998 0.992 Cl
0.084 0.831 0.634 Cl
0.120 0.468 0.119 Cl
0.212 0.652 0.853 Cl
0.215 0.180 0.734 Cl
0.285 0.820 0.234 Cl
0.288 0.348 0.353 Cl
0.380 0.532 0.619 Cl
0.416 0.169 0.134 Cl
0.437 0.002 0.492 Cl
0.563 0.502 0.008 Cl
0.584 0.669 0.366 Cl
0.620 0.032 0.881 Cl
0.712 0.848 0.147 Cl
0.715 0.320 0.266 Cl
0.785 0.680 0.766 Cl
0.788 0.152 0.647 Cl
0.880 0.968 0.381 Cl
0.916 0.331 0.866 Cl
0.937 0.498 0.508 Cl
```

Peak list (6 most intense, 2θ from 10° to 90°, by intensity)
2θ 29.2, rel. 100; 2θ 23.6, rel. 98; 2θ 33.0, rel. 77; 2θ 22.8, rel. 76; 2θ 23.1, rel. 71; 2θ 23.7, rel. 56